Y6PbSe4: theoretical XRD peak list (Cu Kα), based on a structure optimized by DFT (GGA-PBE).
Neutral-atom scattering factors, no anomalous dispersion.

Most intense lines, 5 to 70 degrees two-theta, by intensity:
Position (°2θ)	I (rel.)
30.7	100
29.1	49
29.7	40
43.4	31
41.6	30
32.2	28

Cell and atoms:
Unit cell a=6.972 b=6.972 c=20.728 alpha=90.00 beta=90.00 gamma=145.21
Fractional positions:
Y: 0.000 0.000 0.000
Y: 0.000 0.000 0.500
Y: 0.159 0.841 0.750
Y: 0.270 0.730 0.090
Y: 0.270 0.730 0.410
Y: 0.454 0.546 0.663
Y: 0.454 0.546 0.837
Y: 0.546 0.454 0.163
Y: 0.546 0.454 0.337
Y: 0.730 0.270 0.590
Y: 0.730 0.270 0.910
Y: 0.841 0.159 0.250
Pb: 0.167 0.833 0.250
Pb: 0.833 0.167 0.750
Se: 0.090 0.910 0.623
Se: 0.090 0.910 0.877
Se: 0.361 0.639 0.538
Se: 0.361 0.639 0.962
Se: 0.639 0.361 0.038
Se: 0.639 0.361 0.462
Se: 0.910 0.090 0.123
Se: 0.910 0.090 0.377